# 1
Calculated X-ray diffraction stick pattern
Compound: Ce2H3S
Radiation: CuKα
Structure: a PBE-relaxed structure

Most intense lines, 10° ≤ 2θ ≤ 90°, by intensity:
| 2θ (°) | I/Imax |
| --- | --- |
| 33.21 | 100.0 |
| 27.16 | 95.2 |
| 37.79 | 45.5 |
| 46.44 | 45.4 |
| 26.64 | 36.0 |
| 55.15 | 31.2 |

Cell and atoms:
```
Ce2H3S
1.0
3.9108 0.0000 0.0000
-1.9554 3.3868 0.0000
0.0000 0.0000 13.3870
Ce H S
4 6 2
direct
0.3333 0.6667 0.1115
0.3333 0.6667 0.3885
0.6667 0.3333 0.6115
0.6667 0.3333 0.8885
0.0000 0.0000 0.0000
0.0000 0.0000 0.5000
0.3333 0.6667 0.5689
0.3333 0.6667 0.9311
0.6667 0.3333 0.0689
0.6667 0.3333 0.4311
0.0000 0.0000 0.2500
0.0000 0.0000 0.7500
```

# 2
Calculated X-ray diffraction stick pattern
Compound: Y2FeSi3
Radiation: CuKα
Structure: a PBE-relaxed structure

Most intense lines, 10° ≤ 2θ ≤ 90°, by intensity:
| 2θ (°) | I/Imax |
| --- | --- |
| 34.06 | 100.0 |
| 44.96 | 55.2 |
| 34.10 | 50.7 |
| 65.75 | 34.0 |
| 57.59 | 31.4 |
| 25.51 | 29.3 |

Cell and atoms:
```
Y2FeSi3
1.0
0.0000 4.0373 6.9763
4.0015 0.0000 6.9763
4.0015 4.0373 0.0000
Y Fe Si
4 2 6
direct
0.2492 0.7508 0.7508
0.2500 0.2500 0.2500
0.7500 0.7500 0.7500
0.7508 0.2492 0.2492
0.1651 0.1651 0.8349
0.8349 0.8349 0.1651
0.1570 0.6714 0.3286
0.3278 0.3278 0.6722
0.3286 0.8430 0.1570
0.6714 0.1570 0.8430
0.6722 0.6722 0.3278
0.8430 0.3286 0.6714
```

Please write out number 2 again, unchanged.
Calculated X-ray diffraction stick pattern
Compound: Y2FeSi3
Radiation: CuKα
Structure: a PBE-relaxed structure

Most intense lines, 10° ≤ 2θ ≤ 90°, by intensity:
| 2θ (°) | I/Imax |
| --- | --- |
| 34.06 | 100.0 |
| 44.96 | 55.2 |
| 34.10 | 50.7 |
| 65.75 | 34.0 |
| 57.59 | 31.4 |
| 25.51 | 29.3 |

Cell and atoms:
```
Y2FeSi3
1.0
0.0000 4.0373 6.9763
4.0015 0.0000 6.9763
4.0015 4.0373 0.0000
Y Fe Si
4 2 6
direct
0.2492 0.7508 0.7508
0.2500 0.2500 0.2500
0.7500 0.7500 0.7500
0.7508 0.2492 0.2492
0.1651 0.1651 0.8349
0.8349 0.8349 0.1651
0.1570 0.6714 0.3286
0.3278 0.3278 0.6722
0.3286 0.8430 0.1570
0.6714 0.1570 0.8430
0.6722 0.6722 0.3278
0.8430 0.3286 0.6714
```